Entry 1:
For Pr4DyEr3, a structure optimized by DFT (PBE) gives the simulated PXRD pattern in this record (Cu Kα (λ = 1.5418 Å)).
Lines closer than 0.1° are merged.

Largest 6 diffraction maxima, low angle first, 2θ = 10–90°:
| 2theta | intensity | index |
| --- | --- | --- |
| 30.27 | 100 | 1 2 2 |
| 35.05 | 34 | 2 0 0 |
| 35.19 | 16 | 0 0 4 |
| 50.52 | 24 | 2 0 4 |
| 59.94 | 29 | 3 2 2 |
| 60.13 | 14 | 1 2 6 |

Cell and atoms:
abc: 5.1203 10.2403 10.1998
angles: 90.00 90.00 90.00
Fractional positions:
1 Pr 0.2500 0.9998 0.1303
2 Pr 0.2500 0.2500 0.8693
3 Pr 0.2500 0.5002 0.1303
4 Pr 0.2500 0.7500 0.8696
5 Pr 0.7500 0.0002 0.8697
6 Pr 0.7500 0.2500 0.1304
7 Pr 0.7500 0.4998 0.8697
8 Pr 0.7500 0.7500 0.1307
9 Dy 0.2500 0.2500 0.3817
10 Dy 0.7500 0.7500 0.6183
11 Er 0.2500 0.0000 0.6184
12 Er 0.2500 0.5000 0.6184
13 Er 0.2500 0.7500 0.3814
14 Er 0.7500 0.0000 0.3816
15 Er 0.7500 0.2500 0.6186
16 Er 0.7500 0.5000 0.3816

---

Entry 2:
For La2Zn3Ge4Pt, a structure optimized by DFT (PBE) gives the simulated PXRD pattern in this record (Cu Kα (λ = 1.5418 Å)).
Lines closer than 0.1° are merged.

Largest 6 diffraction maxima, low angle first, 2θ = 10–90°:
| 2theta | intensity | index |
| --- | --- | --- |
| 32.79 | 45 | 1 0 3 |
| 33.74 | 100 | 1 1 2 |
| 41.49 | 53 | 2 0 0 |
| 48.01 | 20 | 1 0 5 |
| 53.86 | 22 | 2 1 3 |
| 70.75 | 23 | 3 1 2 |

Cell and atoms:
abc: 4.3524 4.3524 10.5250
angles: 90.00 90.00 90.00
Fractional positions:
1 La 0.0000 0.5000 0.2429
2 La 0.5000 0.0000 0.7571
3 Zn 0.0000 0.0000 0.0000
4 Zn 0.0000 0.5000 0.6342
5 Zn 0.5000 0.0000 0.3658
6 Ge 0.0000 0.0000 0.5000
7 Ge 0.0000 0.5000 0.8684
8 Ge 0.5000 0.0000 0.1316
9 Ge 0.5000 0.5000 0.5000
10 Pt 0.5000 0.5000 0.0000

---

Entry 3:
For Ba6HPt, a structure optimized by DFT (PBE) gives the simulated PXRD pattern in this record (Cu Kα (λ = 1.5418 Å)).
Lines closer than 0.1° are merged.

Largest 6 diffraction maxima, low angle first, 2θ = 10–90°:
| 2theta | intensity | index |
| --- | --- | --- |
| 15.51 | 18 | 1 0 0 |
| 26.07 | 100 | 1 1 -2 |
| 33.75 | 25 | 1 1 -3 |
| 40.39 | 29 | 3 0 -2 |
| 43.95 | 24 | 1 1 2 |
| 48.71 | 17 | -4 2 3 |

Cell and atoms:
abc: 7.7294 7.7369 8.5570
angles: 90.05 116.83 119.95
Fractional positions:
1 Ba 0.0041 0.0982 0.2501
2 Ba 0.3428 0.7456 0.2493
3 Ba 0.3493 0.5943 0.7505
4 Ba 0.6507 0.4057 0.2495
5 Ba 0.6572 0.2544 0.7507
6 Ba 0.9959 0.9018 0.7499
7 H 0.5000 0.5000 0.5000
8 Pt 0.5000 0.0000 0.0000